Diffraction record for NaNbO3. The powder diffraction line list is computed, not measured: it uses a GGA-PBE-relaxed structure and copper Kα.

Crystal structure
```
data_NaNbO3
_space_group_name_H-M_alt 'P 1'
_space_group_IT_number 1
_cell_length_a 7.8757
_cell_length_b 5.6430
_cell_length_c 5.6153
_cell_angle_alpha 90.00
_cell_angle_beta 90.00
_cell_angle_gamma 90.00
loop_
_space_group_symop_operation_xyz
'x,y,z'
loop_
_atom_site_label
_atom_site_type_symbol
_atom_site_fract_x
_atom_site_fract_y
_atom_site_fract_z
Na1 Na 0.0000 0.2260 0.0000
Na2 Na 0.0000 0.7490 0.5048
Na3 Na 0.5000 0.2510 0.0048
Na4 Na 0.5000 0.7740 0.5000
Nb1 Nb 0.2465 0.7445 0.9916
Nb2 Nb 0.2535 0.2555 0.4916
Nb3 Nb 0.7465 0.2555 0.4916
Nb4 Nb 0.7535 0.7445 0.9916
O1 O 0.0000 0.2571 0.4571
O2 O 0.0000 0.7615 0.0837
O3 O 0.2170 0.9699 0.7412
O4 O 0.2179 0.4648 0.8036
O5 O 0.2821 0.5352 0.3036
O6 O 0.2830 0.0301 0.2412
O7 O 0.5000 0.2385 0.5837
O8 O 0.5000 0.7429 0.9571
O9 O 0.7170 0.0301 0.2412
O10 O 0.7179 0.5352 0.3036
O11 O 0.7821 0.4648 0.8036
O12 O 0.7830 0.9699 0.7412
```

The 12 most intense peaks (10° ≤ 2θ ≤ 80°), most intense first:
| Position (°2θ) | I_rel |
| --- | --- |
| 31.95 | 100 |
| 22.34 | 71 |
| 22.58 | 34 |
| 45.58 | 32 |
| 31.71 | 21 |
| 51.44 | 19 |
| 56.86 | 19 |
| 56.65 | 17 |
| 66.84 | 17 |
| 46.10 | 16 |
| 51.80 | 13 |
| 75.65 | 10 |



Diffraction record for CeF4. The powder diffraction line list is computed, not measured: it uses a GGA-PBE-relaxed structure and copper Kα.

Crystal structure
```
data_CeF4
_space_group_name_H-M_alt 'P 1'
_space_group_IT_number 1
_cell_length_a 8.3709
_cell_length_b 8.3709
_cell_length_c 8.3832
_cell_angle_alpha 116.81
_cell_angle_beta 116.81
_cell_angle_gamma 80.16
loop_
_space_group_symop_operation_xyz
'x,y,z'
loop_
_atom_site_label
_atom_site_type_symbol
_atom_site_fract_x
_atom_site_fract_y
_atom_site_fract_z
Ce1 Ce 0.2121 0.7879 0.7500
Ce2 Ce 0.2239 0.3685 0.1707
Ce3 Ce 0.3685 0.2239 0.6707
Ce4 Ce 0.6315 0.7761 0.3293
Ce5 Ce 0.7761 0.6315 0.8293
Ce6 Ce 0.7879 0.2121 0.2500
F1 F 0.0000 0.5000 0.0000
F2 F 0.0291 0.7235 0.8476
F3 F 0.0655 0.1734 0.4554
F4 F 0.1734 0.0655 0.9554
F5 F 0.1853 0.5958 0.4270
F6 F 0.2598 0.3178 0.8952
F7 F 0.2613 0.5030 0.7177
F8 F 0.2765 0.9709 0.6524
F9 F 0.3178 0.2598 0.3952
F10 F 0.3963 0.6037 0.2500
F11 F 0.4042 0.8147 0.0730
F12 F 0.4970 0.7387 0.7823
F13 F 0.5000 0.0000 0.5000
F14 F 0.5030 0.2613 0.2177
F15 F 0.5958 0.1853 0.9270
F16 F 0.6037 0.3963 0.7500
F17 F 0.6822 0.7402 0.6048
F18 F 0.7235 0.0291 0.3476
F19 F 0.7387 0.4970 0.2823
F20 F 0.7402 0.6822 0.1048
F21 F 0.8147 0.4042 0.5730
F22 F 0.8266 0.9345 0.0446
F23 F 0.9345 0.8266 0.5446
F24 F 0.9709 0.2765 0.1524
```

The 12 most intense peaks (10° ≤ 2θ ≤ 80°), most intense first:
| Position (°2θ) | I_rel |
| --- | --- |
| 21.09 | 100 |
| 23.82 | 86 |
| 22.49 | 55 |
| 25.02 | 36 |
| 27.01 | 36 |
| 46.65 | 34 |
| 43.45 | 28 |
| 43.65 | 27 |
| 27.14 | 23 |
| 26.31 | 23 |
| 45.21 | 20 |
| 48.28 | 20 |



Diffraction record for U2CrN3. The powder diffraction line list is computed, not measured: it uses a GGA-PBE-relaxed structure and copper Kα.

Crystal structure
```
data_U2CrN3
_space_group_name_H-M_alt 'P 1'
_space_group_IT_number 1
_cell_length_a 6.5866
_cell_length_b 6.5866
_cell_length_c 6.5866
_cell_angle_alpha 151.05
_cell_angle_beta 147.30
_cell_angle_gamma 44.23
loop_
_space_group_symop_operation_xyz
'x,y,z'
loop_
_atom_site_label
_atom_site_type_symbol
_atom_site_fract_x
_atom_site_fract_y
_atom_site_fract_z
U1 U 0.1449 0.1449 0.0000
U2 U 0.8551 0.8551 0.0000
Cr1 Cr 0.5000 0.5000 0.0000
N1 N 0.0000 0.5000 0.5000
N2 N 0.3308 0.3308 0.0000
N3 N 0.6692 0.6692 0.0000
```

The 12 most intense peaks (10° ≤ 2θ ≤ 80°), most intense first:
| Position (°2θ) | I_rel |
| --- | --- |
| 36.49 | 100 |
| 32.67 | 91 |
| 35.06 | 85 |
| 47.45 | 49 |
| 25.10 | 47 |
| 29.27 | 38 |
| 61.78 | 34 |
| 28.07 | 27 |
| 58.89 | 26 |
| 66.21 | 26 |
| 49.13 | 23 |
| 44.55 | 17 |



Diffraction record for TiGeOs. The powder diffraction line list is computed, not measured: it uses a GGA-PBE-relaxed structure and copper Kα.

Crystal structure
```
data_TiGeOs
_space_group_name_H-M_alt 'P 1'
_space_group_IT_number 1
_cell_length_a 7.5497
_cell_length_b 7.5497
_cell_length_c 7.5497
_cell_angle_alpha 122.41
_cell_angle_beta 81.25
_cell_angle_gamma 128.03
loop_
_space_group_symop_operation_xyz
'x,y,z'
loop_
_atom_site_label
_atom_site_type_symbol
_atom_site_fract_x
_atom_site_fract_y
_atom_site_fract_z
Ti1 Ti 0.0008 0.2500 0.2508
Ti2 Ti 0.1260 0.1011 0.5249
Ti3 Ti 0.1821 0.6287 0.0533
Ti4 Ti 0.5754 0.1287 0.9467
Ti5 Ti 0.5763 0.6011 0.4751
Ti6 Ti 0.9992 0.7500 0.7492
Ge1 Ge 0.2462 0.0751 0.1635
Ge2 Ge 0.2462 0.5827 0.6711
Ge3 Ge 0.5530 0.3397 0.7134
Ge4 Ge 0.6263 0.8397 0.2866
Ge5 Ge 0.9116 0.0827 0.8365
Ge6 Ge 0.9116 0.5751 0.3289
Os1 Os 0.3283 0.3283 0.0000
Os2 Os 0.3283 0.8283 0.5000
Os3 Os 0.5798 0.1652 0.3320
Os4 Os 0.5798 0.7478 0.9146
Os5 Os 0.8332 0.2478 0.6680
Os6 Os 0.8332 0.6652 0.0854
```

The 12 most intense peaks (10° ≤ 2θ ≤ 80°), most intense first:
| Position (°2θ) | I_rel |
| --- | --- |
| 36.73 | 100 |
| 41.71 | 89 |
| 48.96 | 73 |
| 40.07 | 70 |
| 26.95 | 54 |
| 24.48 | 49 |
| 15.47 | 42 |
| 77.17 | 30 |
| 47.61 | 25 |
| 67.23 | 23 |
| 50.17 | 20 |
| 42.74 | 19 |



Diffraction record for CsRb2YF6. The powder diffraction line list is computed, not measured: it uses a GGA-PBE-relaxed structure and copper Kα.

Crystal structure
```
data_CsRb2YF6
_space_group_name_H-M_alt 'P 1'
_space_group_IT_number 1
_cell_length_a 7.0784
_cell_length_b 7.0784
_cell_length_c 7.0784
_cell_angle_alpha 60.00
_cell_angle_beta 60.00
_cell_angle_gamma 60.00
loop_
_space_group_symop_operation_xyz
'x,y,z'
loop_
_atom_site_label
_atom_site_type_symbol
_atom_site_fract_x
_atom_site_fract_y
_atom_site_fract_z
Cs1 Cs 0.0000 0.0000 0.0000
Rb1 Rb 0.2500 0.2500 0.2500
Rb2 Rb 0.7500 0.7500 0.7500
Y1 Y 0.5000 0.5000 0.5000
F1 F 0.2814 0.2814 0.7186
F2 F 0.2814 0.7186 0.2814
F3 F 0.2814 0.7186 0.7186
F4 F 0.7186 0.2814 0.2814
F5 F 0.7186 0.2814 0.7186
F6 F 0.7186 0.7186 0.2814
```

The 12 most intense peaks (10° ≤ 2θ ≤ 80°), most intense first:
| Position (°2θ) | I_rel |
| --- | --- |
| 25.16 | 100 |
| 44.33 | 40 |
| 35.88 | 38 |
| 51.65 | 24 |
| 70.38 | 23 |
| 58.30 | 21 |
| 17.72 | 8 |
| 64.49 | 8 |
| 76.06 | 3 |
| 39.23 | 3 |
| 40.29 | 3 |
| 29.60 | 2 |



Diffraction record for MgV2S4N6Cl4. The powder diffraction line list is computed, not measured: it uses a GGA-PBE-relaxed structure and copper Kα.

Crystal structure
```
data_MgV2S4N6Cl4
_space_group_name_H-M_alt 'P 1'
_space_group_IT_number 1
_cell_length_a 5.9102
_cell_length_b 7.2574
_cell_length_c 8.6469
_cell_angle_alpha 88.85
_cell_angle_beta 79.11
_cell_angle_gamma 73.60
loop_
_space_group_symop_operation_xyz
'x,y,z'
loop_
_atom_site_label
_atom_site_type_symbol
_atom_site_fract_x
_atom_site_fract_y
_atom_site_fract_z
Mg1 Mg 0.0000 0.0000 0.0000
V1 V 0.2503 0.0191 0.3894
V2 V 0.7497 0.9809 0.6106
S1 S 0.2251 0.7207 0.6946
S2 S 0.2318 0.2556 0.0882
S3 S 0.7682 0.7444 0.9118
S4 S 0.7749 0.2793 0.3054
N1 N 0.0669 0.6967 0.8635
N2 N 0.0792 0.8523 0.5787
N3 N 0.3495 0.1403 0.2234
N4 N 0.6505 0.8597 0.7766
N5 N 0.9208 0.1477 0.4213
N6 N 0.9331 0.3033 0.1365
Cl1 Cl 0.1871 0.8040 0.1906
Cl2 Cl 0.3586 0.2050 0.5816
Cl3 Cl 0.6414 0.7950 0.4184
Cl4 Cl 0.8129 0.1960 0.8094
```

The 12 most intense peaks (10° ≤ 2θ ≤ 80°), most intense first:
| Position (°2θ) | I_rel |
| --- | --- |
| 12.72 | 100 |
| 32.22 | 62 |
| 16.76 | 31 |
| 35.07 | 26 |
| 38.07 | 24 |
| 20.69 | 21 |
| 29.30 | 18 |
| 28.85 | 17 |
| 21.60 | 17 |
| 18.88 | 16 |
| 25.61 | 15 |
| 10.42 | 14 |



Diffraction record for PrCd3. The powder diffraction line list is computed, not measured: it uses a GGA-PBE-relaxed structure and copper Kα.

Crystal structure
```
data_PrCd3
_space_group_name_H-M_alt 'P 1'
_space_group_IT_number 1
_cell_length_a 5.2058
_cell_length_b 5.2058
_cell_length_c 5.2058
_cell_angle_alpha 60.00
_cell_angle_beta 60.00
_cell_angle_gamma 60.00
loop_
_space_group_symop_operation_xyz
'x,y,z'
loop_
_atom_site_label
_atom_site_type_symbol
_atom_site_fract_x
_atom_site_fract_y
_atom_site_fract_z
Pr1 Pr 0.0000 0.0000 0.0000
Cd1 Cd 0.2500 0.2500 0.2500
Cd2 Cd 0.5000 0.5000 0.5000
Cd3 Cd 0.7500 0.7500 0.7500
```

The 5 most intense peaks (10° ≤ 2θ ≤ 80°), most intense first:
| Position (°2θ) | I_rel |
| --- | --- |
| 34.46 | 100 |
| 61.73 | 35 |
| 49.52 | 17 |
| 72.65 | 11 |
| 20.90 | 1 |